Theoretical powder XRD pattern
Compound: Sr4CaYCo2Cu4O14
Radiation: Cu Kα (weighted mean of Kα1 and Kα2)
Structure: a PBE+U-relaxed structure
Neutral-atom scattering factors, no anomalous dispersion.

Most intense lines, 2θ = 10–90°, by intensity:
| h k l | 2θ (°) | d/Å | intensity |
| --- | --- | --- | --- |
| 2 2 -1 | 32.9 | 2.720 | 100 |
| 2 0 -4 | 32.8 | 2.733 | 47 |
| 4 2 -5 | 58.6 | 1.576 | 27 |
| 4 0 -2 | 47.0 | 1.932 | 25 |
| 0 0 5 | 38.8 | 2.320 | 18 |
| 0 4 0 | 47.5 | 1.915 | 15 |

Cell and atoms:
Cell lengths 7.7273, 7.6584, 12.2239 Å; angles 90.00, 108.34, 90.00 degrees
Space group C2/m (No. 12)
Symmetry-distinct sites (fractional):
Sr 0.1412 0.0000 0.3026 (multiplicity 4)
Sr 0.1581 0.5000 0.2992 (multiplicity 4)
Ca 0.0000 0.5000 0.0000 (multiplicity 2)
Y 0.0000 0.0000 0.0000 (multiplicity 2)
Co 0.0000 0.3114 0.5000 (multiplicity 4)
Cu 0.1782 0.2506 0.8555 (multiplicity 8)
O 0.0649 0.2454 0.1309 (multiplicity 8)
O 0.0755 0.2334 0.6478 (multiplicity 8)
O 0.1712 0.5000 0.4984 (multiplicity 4)
O 0.1825 0.0000 0.8737 (multiplicity 4)
O 0.1904 0.5000 0.8683 (multiplicity 4)